The following is a calculated X-ray powder pattern of CuAg14Ge. It was derived from a DFT-relaxed cell (GGA-PBE, Alexandria), using Cu Kα X-rays.
Kinematic intensities with the Lorentz-polarization factor, no thermal factor.

Structural model:
a b c (Å): 9.5990 5.8343 5.8343
angles (deg): 60.15 90.00 90.00
Atoms (fractional coordinates):
Cu (0.0000, 0.0000, 0.0000)
Ag (0.0000, 0.0032, 0.5018)
Ag (0.0000, 0.5018, 0.0032)
Ag (0.2443, 0.3288, 0.8327)
Ag (0.2443, 0.8327, 0.3288)
Ag (0.2482, 0.8333, 0.8333)
Ag (0.2520, 0.3318, 0.3318)
Ag (0.5000, 0.1640, 0.1640)
Ag (0.5000, 0.1652, 0.6657)
Ag (0.5000, 0.6639, 0.6639)
Ag (0.5000, 0.6657, 0.1652)
Ag (0.7480, 0.3318, 0.3318)
Ag (0.7518, 0.8333, 0.8333)
Ag (0.7557, 0.3288, 0.8327)
Ag (0.7557, 0.8327, 0.3288)
Ge (0.0000, 0.5007, 0.5007)

The 8 most intense peaks (2θ = 10–90°), low angle first:
| d (Å) | I (rel.) |
| --- | --- |
| 2.528 | 10 |
| 2.445 | 39 |
| 2.400 | 35 |
| 2.237 | 100 |
| 1.984 | 20 |
| 1.459 | 14 |
| 1.352 | 12 |
| 1.246 | 16 |

***

The following is a calculated X-ray powder pattern of CuAgGeSe3. It was derived from a DFT-relaxed cell (GGA-PBE, Alexandria), using Cu Kα X-rays.
Kinematic intensities with the Lorentz-polarization factor, no thermal factor.

Structural model:
a b c (Å): 7.1029 7.1029 7.1823
angles (deg): 100.51 100.51 119.88
Atoms (fractional coordinates):
Cu (0.0834, 0.9166, 0.5000)
Cu (0.9166, 0.0834, 0.0000)
Ag (0.2568, 0.7555, 0.0119)
Ag (0.7555, 0.2568, 0.5119)
Ge (0.4412, 0.6081, 0.5269)
Ge (0.6081, 0.4412, 0.0269)
Se (0.1572, 0.6552, 0.6175)
Se (0.2992, 0.4463, 0.1459)
Se (0.4463, 0.2992, 0.6459)
Se (0.6552, 0.1572, 0.1175)
Se (0.8164, 0.9584, 0.6395)
Se (0.9584, 0.8164, 0.1395)

The 8 most intense peaks (2θ = 10–90°), low angle first:
| d (Å) | I (rel.) |
| --- | --- |
| 3.367 | 100 |
| 3.345 | 54 |
| 3.314 | 53 |
| 2.067 | 50 |
| 2.051 | 74 |
| 2.016 | 24 |
| 1.774 | 23 |
| 1.747 | 15 |